1.
Starting from the GGA-PBE geometry in Alexandria, the PXRD pattern of HgB6N6 was simulated for Cu Kα (weighted mean of Kα1 and Kα2).
Neutral-atom scattering factors, no anomalous dispersion.

Largest 8 diffraction maxima, low angle first, 10 to 90 degrees two-theta:
- 19.05 deg, I = 100
- 27.06 deg, I = 51
- 33.30 deg, I = 36
- 38.64 deg, I = 26
- 43.42 deg, I = 51
- 47.81 deg, I = 55
- 59.51 deg, I = 26
- 76.49 deg, I = 27

Atomic structure:
```
13
Lattice="4.6598 0.0000 0.0000 0.0000 4.6598 0.0000 0.0000 0.0000 4.6598" Properties=species:S:1:pos:R:3 pbc="T T T"
Hg 0.0000 0.0000 0.0000
B 0.0000 1.1709 2.3299
B 0.0000 3.4889 2.3299
B 1.1709 2.3299 0.0000
B 2.3299 0.0000 1.1709
B 2.3299 0.0000 3.4889
B 3.4889 2.3299 0.0000
N 0.0000 2.3299 1.1957
N 0.0000 2.3299 3.4641
N 1.1957 0.0000 2.3299
N 2.3299 1.1957 0.0000
N 2.3299 3.4641 0.0000
N 3.4641 0.0000 2.3299
```

2.
Starting from the GGA-PBE geometry in Alexandria, the PXRD pattern of PmNd6Y4 was simulated for Cu Kα (weighted mean of Kα1 and Kα2).
Neutral-atom scattering factors, no anomalous dispersion.

Largest 8 diffraction maxima, low angle first, 10 to 90 degrees two-theta:
- 21.51 deg, I = 32
- 28.84 deg, I = 72
- 30.37 deg, I = 36
- 30.66 deg, I = 99
- 33.89 deg, I = 100
- 36.06 deg, I = 33
- 38.52 deg, I = 29
- 39.76 deg, I = 40

Atomic structure:
```
11
Lattice="-3.3055 3.3055 8.8283 3.3055 -3.3055 8.8283 3.3055 3.3055 -8.8283" Properties=species:S:1:pos:R:3 pbc="T T T"
Pm 0.0000 0.0000 0.0000
Nd 3.3055 0.0000 0.0000
Nd 2.1276 2.1276 -2.3480
Nd 1.1779 -1.1779 11.1763
Nd 0.0000 3.3055 0.0000
Nd 1.1779 1.1779 6.4803
Nd -1.1779 1.1779 11.1763
Y 2.0773 -2.0773 5.6996
Y 1.2282 1.2282 3.1288
Y -2.0773 2.0773 5.6996
Y 2.0773 2.0773 11.9571
```

3.
Starting from the GGA-PBE geometry in Alexandria, the PXRD pattern of TeMoPt was simulated for Cu Kα (weighted mean of Kα1 and Kα2).
Neutral-atom scattering factors, no anomalous dispersion.

Largest 8 diffraction maxima, low angle first, 10 to 90 degrees two-theta:
- 32.25 deg, I = 61
- 34.59 deg, I = 42
- 38.22 deg, I = 100
- 42.86 deg, I = 58
- 43.15 deg, I = 21
- 55.96 deg, I = 41
- 60.98 deg, I = 25
- 73.18 deg, I = 27

Atomic structure:
```
6
Lattice="3.2866 0.0000 0.0000 -1.6433 2.8462 0.0000 0.0000 0.0000 12.5782" Properties=species:S:1:pos:R:3 pbc="T T T"
Te 0.0000 0.0000 1.9445
Te 0.0000 0.0000 10.6337
Mo 1.6433 0.9487 0.0000
Mo 1.6433 0.9487 6.2891
Pt 0.0000 1.8975 4.4389
Pt 0.0000 1.8975 8.1393
```

4.
Starting from the GGA-PBE geometry in Alexandria, the PXRD pattern of SmDy4Ho10 was simulated for Cu Kα (weighted mean of Kα1 and Kα2).
Neutral-atom scattering factors, no anomalous dispersion.

Largest 8 diffraction maxima, low angle first, 10 to 90 degrees two-theta:
- 20.09 deg, I = 25
- 23.24 deg, I = 15
- 33.10 deg, I = 100
- 39.03 deg, I = 14
- 47.52 deg, I = 18
- 59.13 deg, I = 38
- 69.47 deg, I = 12
- 79.14 deg, I = 16

Atomic structure:
```
15
Lattice="-6.0503 6.0503 3.8282 6.0503 -6.0503 3.8282 6.0503 6.0503 -3.8282" Properties=species:S:1:pos:R:3 pbc="T T T"
Sm 0.0000 0.0000 0.0000
Dy 7.2589 2.4058 0.0000
Dy 2.4058 4.8417 0.0000
Dy 3.6445 1.2086 3.8282
Dy -1.2086 3.6445 3.8282
Ho 4.8324 3.6257 -1.8994
Ho 2.4246 -1.2179 1.9288
Ho 6.0503 0.0000 1.9141
Ho 3.6257 7.2682 -1.8994
Ho 1.2179 2.4246 1.9288
Ho 4.8324 3.6257 1.8994
Ho 2.4246 -1.2179 5.7275
Ho 0.0000 6.0503 1.9141
Ho 3.6257 7.2682 1.8994
Ho 1.2179 2.4246 5.7275
```

5.
Starting from the GGA-PBE geometry in Alexandria, the PXRD pattern of Mn5V6Ni was simulated for Cu Kα (weighted mean of Kα1 and Kα2).
Neutral-atom scattering factors, no anomalous dispersion.

Largest 8 diffraction maxima, low angle first, 10 to 90 degrees two-theta:
- 31.11 deg, I = 1
- 44.47 deg, I = 100
- 44.68 deg, I = 20
- 64.55 deg, I = 6
- 64.87 deg, I = 12
- 81.77 deg, I = 6
- 81.91 deg, I = 17
- 82.20 deg, I = 11

Atomic structure:
```
12
Lattice="-2.0369 2.8874 6.0850 2.0369 -2.8874 6.0850 2.0369 2.8874 -6.0850" Properties=species:S:1:pos:R:3 pbc="T T T"
Mn 0.0000 0.0000 0.0000
Mn 2.0369 0.0000 2.0358
Mn 0.0000 0.0000 4.0870
Mn 0.0000 0.0000 8.0829
Mn 0.0000 2.8874 4.0492
V 2.0369 -1.4561 4.0348
V 2.0369 1.4077 0.0000
V 0.0000 1.4313 2.0501
V 2.0369 1.4561 4.0348
V 0.0000 1.4797 6.0850
V 0.0000 4.3435 2.0501
Ni 0.0000 2.8874 0.0000
```

6.
Starting from the GGA-PBE geometry in Alexandria, the PXRD pattern of Ce6Sn5Hg was simulated for Cu Kα (weighted mean of Kα1 and Kα2).
Neutral-atom scattering factors, no anomalous dispersion.

Largest 8 diffraction maxima, low angle first, 10 to 90 degrees two-theta:
- 32.46 deg, I = 100
- 36.37 deg, I = 37
- 40.12 deg, I = 14
- 52.38 deg, I = 13
- 55.26 deg, I = 22
- 62.99 deg, I = 30
- 67.97 deg, I = 12
- 68.09 deg, I = 12

Atomic structure:
```
12
Lattice="-2.4712 4.4950 7.4067 2.4712 -4.4950 7.4067 2.4712 4.4950 -7.4067" Properties=species:S:1:pos:R:3 pbc="T T T"
Ce 2.4712 2.2365 -2.4746
Ce 0.0000 2.2296 0.0000
Ce 2.4712 2.2365 2.4746
Ce 0.0000 2.2585 4.9321
Ce 0.0000 6.7604 0.0000
Ce 0.0000 2.2585 9.8813
Sn 0.0000 0.0000 2.4538
Sn 2.4712 0.0000 4.9644
Sn 0.0000 0.0000 7.4067
Sn 0.0000 4.4950 2.4423
Sn 0.0000 0.0000 12.3596
Hg 2.4712 0.0000 0.0000
```